(1)
For NaAgF4, a structure optimized by DFT (PBE) gives the calculated powder XRD pattern in this record (Cu Kα (weighted mean of Kα1 and Kα2)).

Atomic structure:
```
data_NaAgF4
_symmetry_space_group_name_H-M 'P 1'
_symmetry_Int_Tables_number 1
_symmetry_space_group_name_Hall 'P 1'
_cell_length_a 5.5924
_cell_length_b 5.1381
_cell_length_c 6.2627
_cell_angle_alpha 90.00
_cell_angle_beta 90.00
_cell_angle_gamma 90.00
loop_
_atom_site_label
_atom_site_fract_x
_atom_site_fract_y
_atom_site_fract_z
Na1 0.0000 0.0000 0.0000
Na2 0.0000 0.5000 0.5000
Ag1 0.5000 0.0000 0.3106
Ag2 0.5000 0.5000 0.8106
F1 0.1901 0.1915 0.2977
F2 0.1901 0.3085 0.7977
F3 0.3635 0.7436 0.5562
F4 0.3635 0.7564 0.0562
F5 0.6365 0.2436 0.0562
F6 0.6365 0.2564 0.5562
F7 0.8099 0.6915 0.7977
F8 0.8099 0.8085 0.2977
```

The 10 most intense peaks (2θ from 10° to 80°), by angle:
15.85°, d = 5.592 Å, intensity 661; 22.38°, d = 3.972 Å, intensity 876; 27.54°, d = 3.238 Å, intensity 1000; 32.78°, d = 2.732 Å, intensity 185; 39.41°, d = 2.286 Å, intensity 247; 46.98°, d = 1.934 Å, intensity 177; 48.10°, d = 1.892 Å, intensity 194; 48.65°, d = 1.872 Å, intensity 388; 54.37°, d = 1.688 Å, intensity 183; 57.54°, d = 1.602 Å, intensity 153

=====

(2)
For Al4TeMo, a structure optimized by DFT (PBE) gives the calculated powder XRD pattern in this record (Cu Kα (weighted mean of Kα1 and Kα2)).

Atomic structure:
```
data_Al4TeMo
_symmetry_space_group_name_H-M 'P 1'
_symmetry_Int_Tables_number 1
_symmetry_space_group_name_Hall 'P 1'
_cell_length_a 5.2750
_cell_length_b 5.2750
_cell_length_c 5.2750
_cell_angle_alpha 60.00
_cell_angle_beta 60.00
_cell_angle_gamma 60.00
loop_
_atom_site_label
_atom_site_fract_x
_atom_site_fract_y
_atom_site_fract_z
Al1 0.1237 0.1237 0.1237
Al2 0.1237 0.1237 0.6288
Al3 0.1237 0.6288 0.1237
Al4 0.6288 0.1237 0.1237
Te1 0.5000 0.5000 0.5000
Mo1 0.7500 0.7500 0.7500
```

The 10 most intense peaks (2θ from 10° to 80°), by angle:
20.62°, d = 4.307 Å, intensity 440; 33.99°, d = 2.637 Å, intensity 874; 40.09°, d = 2.249 Å, intensity 1000; 41.95°, d = 2.154 Å, intensity 80; 48.83°, d = 1.865 Å, intensity 41; 53.55°, d = 1.711 Å, intensity 105; 60.83°, d = 1.523 Å, intensity 314; 64.96°, d = 1.436 Å, intensity 313; 71.55°, d = 1.319 Å, intensity 213; 75.38°, d = 1.261 Å, intensity 74

=====

(3)
For PdS2BrO8, a structure optimized by DFT (PBE) gives the calculated powder XRD pattern in this record (Cu Kα (weighted mean of Kα1 and Kα2)).

Atomic structure:
```
data_PdS2BrO8
_symmetry_space_group_name_H-M 'P 1'
_symmetry_Int_Tables_number 1
_symmetry_space_group_name_Hall 'P 1'
_cell_length_a 5.5440
_cell_length_b 5.5440
_cell_length_c 9.0666
_cell_angle_alpha 112.88
_cell_angle_beta 112.88
_cell_angle_gamma 55.39
loop_
_atom_site_label
_atom_site_fract_x
_atom_site_fract_y
_atom_site_fract_z
Pd1 0.0000 0.0000 0.0000
S1 0.3265 0.3265 0.7930
S2 0.6735 0.6735 0.2070
Br1 0.0000 0.0000 0.5000
O1 0.1932 0.6621 0.8174
O2 0.2311 0.2311 0.6058
O3 0.2427 0.2427 0.8886
O4 0.3379 0.8068 0.1826
O5 0.6621 0.1932 0.8174
O6 0.7573 0.7573 0.1114
O7 0.7689 0.7689 0.3942
O8 0.8068 0.3379 0.1826
```

The 10 most intense peaks (2θ from 10° to 80°), by angle:
10.86°, d = 8.146 Å, intensity 435; 18.19°, d = 4.877 Å, intensity 447; 19.96°, d = 4.449 Å, intensity 965; 20.52°, d = 4.329 Å, intensity 342; 22.28°, d = 3.990 Å, intensity 1000; 24.84°, d = 3.585 Å, intensity 328; 26.19°, d = 3.403 Å, intensity 711; 32.94°, d = 2.719 Å, intensity 753; 34.82°, d = 2.577 Å, intensity 310; 35.14°, d = 2.554 Å, intensity 517

=====

(4)
For BRuSe2, a structure optimized by DFT (PBE) gives the calculated powder XRD pattern in this record (Cu Kα (weighted mean of Kα1 and Kα2)).

Atomic structure:
```
data_BRuSe2
_symmetry_space_group_name_H-M 'P 1'
_symmetry_Int_Tables_number 1
_symmetry_space_group_name_Hall 'P 1'
_cell_length_a 5.3324
_cell_length_b 5.3324
_cell_length_c 9.6839
_cell_angle_alpha 90.00
_cell_angle_beta 90.00
_cell_angle_gamma 90.00
loop_
_atom_site_label
_atom_site_fract_x
_atom_site_fract_y
_atom_site_fract_z
B1 0.0000 0.0000 0.0000
B2 0.0000 0.5000 0.2500
B3 0.5000 0.0000 0.7500
B4 0.5000 0.5000 0.5000
Ru1 0.0000 0.0000 0.5000
Ru2 0.0000 0.5000 0.7500
Ru3 0.5000 0.0000 0.2500
Ru4 0.5000 0.5000 0.0000
Se1 0.2015 0.2500 0.1250
Se2 0.2500 0.7015 0.3750
Se3 0.2500 0.7985 0.8750
Se4 0.2985 0.2500 0.6250
Se5 0.7015 0.7500 0.6250
Se6 0.7500 0.2015 0.8750
Se7 0.7500 0.2985 0.3750
Se8 0.7985 0.7500 0.1250
```

The 10 most intense peaks (2θ from 10° to 80°), by angle:
19.00°, d = 4.671 Å, intensity 156; 30.04°, d = 2.975 Å, intensity 1000; 32.42°, d = 2.761 Å, intensity 189; 38.89°, d = 2.316 Å, intensity 288; 48.27°, d = 1.885 Å, intensity 213; 50.95°, d = 1.792 Å, intensity 405; 52.33°, d = 1.748 Å, intensity 99; 57.91°, d = 1.592 Å, intensity 233; 62.61°, d = 1.484 Å, intensity 117; 69.97°, d = 1.345 Å, intensity 92

=====

(5)
For Tb2Tm2Co, a structure optimized by DFT (PBE) gives the calculated powder XRD pattern in this record (Cu Kα (weighted mean of Kα1 and Kα2)).

Atomic structure:
```
data_Tb2Tm2Co
_symmetry_space_group_name_H-M 'P 1'
_symmetry_Int_Tables_number 1
_symmetry_space_group_name_Hall 'P 1'
_cell_length_a 6.8152
_cell_length_b 6.8152
_cell_length_c 7.0324
_cell_angle_alpha 102.59
_cell_angle_beta 102.59
_cell_angle_gamma 114.66
loop_
_atom_site_label
_atom_site_fract_x
_atom_site_fract_y
_atom_site_fract_z
Tb1 0.1851 0.7318 0.7442
Tb2 0.2682 0.8149 0.2558
Tb3 0.7318 0.1851 0.7442
Tb4 0.8149 0.2682 0.2558
Tm1 0.2432 0.2432 0.6003
Tm2 0.2727 0.2727 0.1130
Tm3 0.7273 0.7273 0.8870
Tm4 0.7568 0.7568 0.3997
Co1 0.3822 0.6178 0.5000
Co2 0.6178 0.3822 0.5000
```

The 10 most intense peaks (2θ from 10° to 80°), by angle:
26.59°, d = 3.352 Å, intensity 227; 29.67°, d = 3.011 Å, intensity 175; 30.80°, d = 2.903 Å, intensity 1000; 31.18°, d = 2.869 Å, intensity 408; 31.90°, d = 2.806 Å, intensity 392; 34.72°, d = 2.584 Å, intensity 551; 36.34°, d = 2.472 Å, intensity 325; 39.38°, d = 2.288 Å, intensity 228; 43.58°, d = 2.077 Å, intensity 187; 59.71°, d = 1.549 Å, intensity 167

=====

(6)
For HoInHgGe, a structure optimized by DFT (PBE) gives the calculated powder XRD pattern in this record (Cu Kα (weighted mean of Kα1 and Kα2)).

Atomic structure:
```
data_HoInHgGe
_symmetry_space_group_name_H-M 'P 1'
_symmetry_Int_Tables_number 1
_symmetry_space_group_name_Hall 'P 1'
_cell_length_a 7.2554
_cell_length_b 7.2554
_cell_length_c 7.2554
_cell_angle_alpha 90.00
_cell_angle_beta 90.00
_cell_angle_gamma 90.00
loop_
_atom_site_label
_atom_site_fract_x
_atom_site_fract_y
_atom_site_fract_z
Ho1 0.0000 0.0000 0.0000
Ho2 0.0000 0.5000 0.5000
Ho3 0.5000 0.0000 0.5000
Ho4 0.5000 0.5000 0.0000
In1 0.0000 0.0000 0.5000
In2 0.0000 0.5000 0.0000
In3 0.5000 0.0000 0.0000
In4 0.5000 0.5000 0.5000
Hg1 0.2500 0.2500 0.7500
Hg2 0.2500 0.7500 0.2500
Hg3 0.7500 0.2500 0.2500
Hg4 0.7500 0.7500 0.7500
Ge1 0.2500 0.2500 0.2500
Ge2 0.2500 0.7500 0.7500
Ge3 0.7500 0.2500 0.7500
Ge4 0.7500 0.7500 0.2500
```

The 9 most intense peaks (2θ from 10° to 80°), by angle:
21.21°, d = 4.189 Å, intensity 128; 34.98°, d = 2.565 Å, intensity 1000; 41.27°, d = 2.188 Å, intensity 74; 50.30°, d = 1.814 Å, intensity 178; 55.18°, d = 1.664 Å, intensity 33; 62.74°, d = 1.481 Å, intensity 366; 67.02°, d = 1.396 Å, intensity 25; 73.89°, d = 1.283 Å, intensity 114; 77.90°, d = 1.226 Å, intensity 26

=====

(7)
For K2Ce2PuSe6, a structure optimized by DFT (PBE) gives the calculated powder XRD pattern in this record (Cu Kα (weighted mean of Kα1 and Kα2)).

Atomic structure:
```
data_K2Ce2PuSe6
_symmetry_space_group_name_H-M 'P 1'
_symmetry_Int_Tables_number 1
_symmetry_space_group_name_Hall 'P 1'
_cell_length_a 7.4253
_cell_length_b 7.4253
_cell_length_c 8.1459
_cell_angle_alpha 98.71
_cell_angle_beta 98.71
_cell_angle_gamma 119.94
loop_
_atom_site_label
_atom_site_fract_x
_atom_site_fract_y
_atom_site_fract_z
K1 0.1671 0.8329 0.0000
K2 0.8329 0.1671 0.0000
Ce1 0.3341 0.6659 0.5000
Ce2 0.6659 0.3341 0.5000
Pu1 0.0000 0.0000 0.5000
Se1 0.0643 0.3990 0.6997
Se2 0.2637 0.2637 0.2996
Se3 0.3990 0.0643 0.6997
Se4 0.6010 0.9357 0.3003
Se5 0.7363 0.7363 0.7004
Se6 0.9357 0.6010 0.3003
```

The 10 most intense peaks (2θ from 10° to 80°), by angle:
11.40°, d = 7.764 Å, intensity 849; 24.27°, d = 3.667 Å, intensity 197; 28.51°, d = 3.131 Å, intensity 1000; 36.25°, d = 2.478 Å, intensity 280; 39.32°, d = 2.291 Å, intensity 328; 42.14°, d = 2.144 Å, intensity 371; 43.80°, d = 2.067 Å, intensity 198; 49.56°, d = 1.839 Å, intensity 154; 51.70°, d = 1.768 Å, intensity 127; 68.80°, d = 1.365 Å, intensity 161

=====

(8)
For Na3MgTl7, a structure optimized by DFT (PBE) gives the calculated powder XRD pattern in this record (Cu Kα (weighted mean of Kα1 and Kα2)).

Atomic structure:
```
data_Na3MgTl7
_symmetry_space_group_name_H-M 'P 1'
_symmetry_Int_Tables_number 1
_symmetry_space_group_name_Hall 'P 1'
_cell_length_a 8.1384
_cell_length_b 8.1384
_cell_length_c 5.7507
_cell_angle_alpha 110.53
_cell_angle_beta 110.53
_cell_angle_gamma 89.83
loop_
_atom_site_label
_atom_site_fract_x
_atom_site_fract_y
_atom_site_fract_z
Na1 0.0000 0.0000 0.0000
Na2 0.2262 0.7738 0.5000
Na3 0.7738 0.2262 0.5000
Mg1 0.5000 0.5000 0.0000
Tl1 0.0731 0.5867 0.8315
Tl2 0.1917 0.1917 0.6848
Tl3 0.4133 0.9269 0.1685
Tl4 0.5000 0.5000 0.5000
Tl5 0.5867 0.0731 0.8315
Tl6 0.8083 0.8083 0.3152
Tl7 0.9269 0.4133 0.1685
```

The 10 most intense peaks (2θ from 10° to 80°), by angle:
23.61°, d = 3.768 Å, intensity 734; 24.82°, d = 3.587 Å, intensity 320; 27.83°, d = 3.206 Å, intensity 186; 31.11°, d = 2.875 Å, intensity 1000; 33.32°, d = 2.689 Å, intensity 225; 34.72°, d = 2.584 Å, intensity 345; 34.83°, d = 2.576 Å, intensity 344; 44.58°, d = 2.032 Å, intensity 339; 51.05°, d = 1.789 Å, intensity 222; 73.71°, d = 1.285 Å, intensity 161

=====

(9)
For LiPu2InO8, a structure optimized by DFT (PBE) gives the calculated powder XRD pattern in this record (Cu Kα (weighted mean of Kα1 and Kα2)).

Atomic structure:
```
data_LiPu2InO8
_symmetry_space_group_name_H-M 'P 1'
_symmetry_Int_Tables_number 1
_symmetry_space_group_name_Hall 'P 1'
_cell_length_a 6.3872
_cell_length_b 6.3872
_cell_length_c 6.3872
_cell_angle_alpha 131.57
_cell_angle_beta 131.57
_cell_angle_gamma 70.90
loop_
_atom_site_label
_atom_site_fract_x
_atom_site_fract_y
_atom_site_fract_z
Li1 0.0000 0.0000 0.0000
Pu1 0.2500 0.7500 0.5000
Pu2 0.5000 0.5000 0.0000
In1 0.7500 0.2500 0.5000
O1 0.1229 0.5775 0.9870
O2 0.1692 0.1177 0.5017
O3 0.3325 0.8308 0.9485
O4 0.4225 0.4095 0.5454
O5 0.5905 0.1359 0.0130
O6 0.6160 0.6675 0.4983
O7 0.8641 0.8771 0.4546
O8 0.8823 0.3840 0.0515
```

The 10 most intense peaks (2θ from 10° to 80°), by angle:
18.96°, d = 4.680 Å, intensity 580; 29.60°, d = 3.018 Å, intensity 1000; 30.92°, d = 2.892 Å, intensity 153; 34.23°, d = 2.620 Å, intensity 210; 39.42°, d = 2.286 Å, intensity 171; 46.79°, d = 1.942 Å, intensity 121; 49.19°, d = 1.852 Å, intensity 175; 49.37°, d = 1.846 Å, intensity 340; 58.46°, d = 1.579 Å, intensity 304; 58.79°, d = 1.571 Å, intensity 150

=====

(10)
For CdCuCl4, a structure optimized by DFT (PBE) gives the calculated powder XRD pattern in this record (Cu Kα (weighted mean of Kα1 and Kα2)).

Atomic structure:
```
data_CdCuCl4
_symmetry_space_group_name_H-M 'P 1'
_symmetry_Int_Tables_number 1
_symmetry_space_group_name_Hall 'P 1'
_cell_length_a 6.5443
_cell_length_b 6.5443
_cell_length_c 7.8671
_cell_angle_alpha 94.84
_cell_angle_beta 94.84
_cell_angle_gamma 69.05
loop_
_atom_site_label
_atom_site_fract_x
_atom_site_fract_y
_atom_site_fract_z
Cd1 0.0000 0.5000 0.0000
Cd2 0.5000 0.0000 0.5000
Cu1 0.1444 0.8556 0.7500
Cu2 0.8556 0.1444 0.2500
Cl1 0.1264 0.2888 0.2954
Cl2 0.2401 0.7273 0.0166
Cl3 0.2727 0.7599 0.4834
Cl4 0.2888 0.1264 0.7954
Cl5 0.7112 0.8736 0.2046
Cl6 0.7273 0.2401 0.5166
Cl7 0.7599 0.2727 0.9834
Cl8 0.8736 0.7112 0.7046
```

The 10 most intense peaks (2θ from 10° to 80°), by angle:
14.52°, d = 6.101 Å, intensity 215; 18.96°, d = 4.681 Å, intensity 1000; 23.99°, d = 3.709 Å, intensity 281; 26.60°, d = 3.352 Å, intensity 258; 28.99°, d = 3.080 Å, intensity 146; 33.28°, d = 2.692 Å, intensity 343; 33.41°, d = 2.682 Å, intensity 345; 36.67°, d = 2.451 Å, intensity 346; 38.85°, d = 2.318 Å, intensity 210; 46.67°, d = 1.946 Å, intensity 164

=====

(11)
For Hf3AgHg3F20, a structure optimized by DFT (PBE) gives the calculated powder XRD pattern in this record (Cu Kα (weighted mean of Kα1 and Kα2)).

Atomic structure:
```
data_Hf3AgHg3F20
_symmetry_space_group_name_H-M 'P 1'
_symmetry_Int_Tables_number 1
_symmetry_space_group_name_Hall 'P 1'
_cell_length_a 10.7876
_cell_length_b 10.7876
_cell_length_c 8.6203
_cell_angle_alpha 90.00
_cell_angle_beta 90.00
_cell_angle_gamma 120.00
loop_
_atom_site_label
_atom_site_fract_x
_atom_site_fract_y
_atom_site_fract_z
Hf1 0.1415 0.7227 0.2500
Hf2 0.2773 0.4188 0.2500
Hf3 0.4188 0.1415 0.7500
Hf4 0.5812 0.8585 0.2500
Hf5 0.7227 0.5812 0.7500
Hf6 0.8585 0.2773 0.7500
Ag1 0.0000 0.0000 0.2500
Ag2 0.0000 0.0000 0.7500
Hg1 0.1622 0.7319 0.7500
Hg2 0.2681 0.4303 0.7500
Hg3 0.4303 0.1622 0.2500
Hg4 0.5697 0.8378 0.7500
Hg5 0.7319 0.5697 0.2500
Hg6 0.8378 0.2681 0.2500
F1 0.0000 0.0000 0.0000
F2 0.0000 0.0000 0.5000
F3 0.0265 0.2301 0.7500
F4 0.0525 0.4663 0.7500
F5 0.0587 0.2846 0.2500
F6 0.1473 0.7203 0.0195
F7 0.1473 0.7203 0.4805
F8 0.1859 0.5522 0.2500
F9 0.2036 0.9735 0.7500
F10 0.2259 0.9413 0.2500
F11 0.2301 0.2036 0.2500
F12 0.2797 0.4270 0.0195
F13 0.2797 0.4270 0.4805
F14 0.2846 0.2259 0.7500
F15 0.3333 0.6667 0.7500
F16 0.3663 0.8141 0.2500
F17 0.4138 0.9475 0.7500
F18 0.4270 0.1473 0.5195
F19 0.4270 0.1473 0.9805
F20 0.4478 0.6337 0.2500
F21 0.4663 0.4138 0.2500
F22 0.5337 0.5862 0.7500
F23 0.5522 0.3663 0.7500
F24 0.5730 0.8527 0.0195
F25 0.5730 0.8527 0.4805
F26 0.5862 0.0525 0.2500
F27 0.6337 0.1859 0.7500
F28 0.6667 0.3333 0.2500
F29 0.7154 0.7741 0.2500
F30 0.7203 0.5730 0.5195
F31 0.7203 0.5730 0.9805
F32 0.7699 0.7964 0.7500
F33 0.7741 0.0587 0.7500
F34 0.7964 0.0265 0.2500
F35 0.8141 0.4478 0.7500
F36 0.8527 0.2797 0.5195
F37 0.8527 0.2797 0.9805
F38 0.9413 0.7154 0.7500
F39 0.9475 0.5337 0.2500
F40 0.9735 0.7699 0.2500
```

The 10 most intense peaks (2θ from 10° to 80°), by angle:
20.61°, d = 4.310 Å, intensity 655; 25.22°, d = 3.531 Å, intensity 1000; 32.79°, d = 2.731 Å, intensity 621; 41.92°, d = 2.155 Å, intensity 146; 44.44°, d = 2.039 Å, intensity 306; 49.51°, d = 1.841 Å, intensity 625; 51.78°, d = 1.766 Å, intensity 151; 56.31°, d = 1.634 Å, intensity 158; 62.74°, d = 1.481 Å, intensity 206; 68.73°, d = 1.366 Å, intensity 125